Entry 1:
# La4Pm3Pr8
Theoretical powder diffraction line list, Cu Kα X-rays. Input: a DFT-relaxed cell (PBE, Alexandria).
Lines closer than 0.1° are merged.

Cell lengths 9.503, 9.503, 7.006 Å; angles 111.58, 111.58, 82.20 degrees
Sites, in units of the cell vectors:
La1 0.000 0.000 0.000
La2 0.000 0.000 0.500
La3 0.000 0.500 0.000
La4 0.500 0.000 0.000
Pm1 0.000 0.500 0.500
Pm2 0.500 0.000 0.500
Pm3 0.500 0.500 0.000
Pr1 0.248 0.248 0.744
Pr2 0.248 0.752 0.000
Pr3 0.298 0.298 0.299
Pr4 0.298 0.702 0.500
Pr5 0.702 0.298 0.500
Pr6 0.702 0.702 0.701
Pr7 0.752 0.248 0.000
Pr8 0.752 0.752 0.256

Peak list (12 most intense, 2θ = 10–90°, by angle)
2θ 25.43, I 17
2θ 28.57, I 100
2θ 29.23, I 54
2θ 32.62, I 52
2θ 38.23, I 16
2θ 38.61, I 15
2θ 40.85, I 32
2θ 41.33, I 29
2θ 51.01, I 19
2θ 53.22, I 15
2θ 59.51, I 18
2θ 60.61, I 24

Entry 2:
# La3Pm8Pr2
Theoretical powder diffraction line list, Cu Kα X-rays. Input: a DFT-relaxed cell (PBE, Alexandria).
Lines closer than 0.1° are merged.

Cell lengths 12.025, 21.482, 3.590 Å; angles 90.00, 90.00, 90.00 degrees
Sites, in units of the cell vectors:
La1 0.000 0.000 0.000
La2 0.140 0.298 0.000
La3 0.360 0.798 0.000
La4 0.500 0.500 0.000
La5 0.640 0.202 0.000
La6 0.860 0.702 0.000
Pm1 0.042 0.429 0.500
Pm2 0.057 0.158 0.000
Pm3 0.134 0.713 0.500
Pm4 0.212 0.554 0.000
Pm5 0.288 0.054 0.000
Pm6 0.366 0.213 0.500
Pm7 0.443 0.658 0.000
Pm8 0.458 0.929 0.500
Pm9 0.542 0.071 0.500
Pm10 0.557 0.342 0.000
Pm11 0.634 0.787 0.500
Pm12 0.712 0.946 0.000
Pm13 0.788 0.446 0.000
Pm14 0.866 0.287 0.500
Pm15 0.943 0.842 0.000
Pm16 0.958 0.571 0.500
Pr1 0.180 0.900 0.500
Pr2 0.320 0.400 0.500
Pr3 0.680 0.600 0.500
Pr4 0.820 0.100 0.500

Peak list (12 most intense, 2θ = 10–90°, by angle)
2θ 26.24, I 22
2θ 27.77, I 24
2θ 29.27, I 63
2θ 30.00, I 21
2θ 30.05, I 55
2θ 30.50, I 55
2θ 30.88, I 100
2θ 32.30, I 28
2θ 33.78, I 55
2θ 35.41, I 29
2θ 50.87, I 23
2θ 60.21, I 24

Entry 3:
# La5Pm4Pr3
Theoretical powder diffraction line list, Cu Kα X-rays. Input: a DFT-relaxed cell (PBE, Alexandria).
Lines closer than 0.1° are merged.

Cell lengths 6.421, 7.387, 9.095 Å; angles 90.26, 90.08, 90.09 degrees
Sites, in units of the cell vectors:
La1 0.000 0.000 0.000
La2 0.333 0.500 0.335
La3 0.500 0.249 0.000
La4 0.500 0.751 0.000
La5 0.667 0.500 0.665
Pm1 0.167 0.752 0.666
Pm2 0.334 0.000 0.335
Pm3 0.666 0.000 0.665
Pm4 0.833 0.248 0.334
Pr1 0.000 0.500 0.000
Pr2 0.167 0.248 0.665
Pr3 0.833 0.752 0.335

Peak list (12 most intense, 2θ = 10–90°, by angle)
2θ 29.51, I 100
2θ 29.59, I 33
2θ 34.18, I 45
2θ 34.35, I 22
2θ 49.09, I 16
2θ 49.21, I 24
2θ 49.35, I 8
2θ 58.26, I 10
2θ 58.36, I 24
2θ 58.49, I 14
2θ 58.65, I 10
2θ 61.31, I 8

Entry 4:
# LaPm2Pr3
Theoretical powder diffraction line list, Cu Kα X-rays. Input: a DFT-relaxed cell (PBE, Alexandria).
Lines closer than 0.1° are merged.

Cell lengths 3.548, 6.111, 20.061 Å; angles 90.00, 90.00, 90.00 degrees
Sites, in units of the cell vectors:
La1 0.000 0.000 0.000
La2 0.500 0.500 0.500
Pm1 0.000 0.000 0.362
Pm2 0.000 0.000 0.638
Pm3 0.500 0.500 0.138
Pm4 0.500 0.500 0.862
Pr1 0.000 0.000 0.190
Pr2 0.000 0.000 0.810
Pr3 0.000 0.500 0.000
Pr4 0.500 0.000 0.500
Pr5 0.500 0.500 0.310
Pr6 0.500 0.500 0.690

Peak list (12 most intense, 2θ = 10–90°, by angle)
2θ 26.63, I 100
2θ 29.10, I 83
2θ 29.23, I 91
2θ 30.47, I 31
2θ 33.72, I 73
2θ 34.26, I 22
2θ 34.57, I 30
2θ 39.94, I 60
2θ 45.22, I 68
2θ 56.76, I 25
2θ 60.33, I 23
2θ 65.11, I 35

Entry 5:
# La7Pm2Pr3
Theoretical powder diffraction line list, Cu Kα X-rays. Input: a DFT-relaxed cell (PBE, Alexandria).
Lines closer than 0.1° are merged.

Cell lengths 6.085, 3.668, 19.648 Å; angles 90.00, 93.26, 90.00 degrees
Sites, in units of the cell vectors:
La1 0.000 0.000 0.000
La2 0.184 0.500 0.180
La3 0.256 0.500 0.535
La4 0.319 0.000 0.854
La5 0.681 0.000 0.146
La6 0.744 0.500 0.465
La7 0.816 0.500 0.820
Pm1 0.289 0.500 0.703
Pm2 0.711 0.500 0.297
Pr1 0.221 0.000 0.365
Pr2 0.500 0.500 0.000
Pr3 0.779 0.000 0.635

Peak list (12 most intense, 2θ = 10–90°, by angle)
2θ 27.28, I 34
2θ 29.47, I 67
2θ 29.61, I 27
2θ 30.14, I 100
2θ 30.30, I 47
2θ 30.43, I 33
2θ 31.24, I 27
2θ 31.81, I 35
2θ 33.43, I 38
2θ 49.71, I 21
2θ 52.00, I 33
2θ 58.83, I 27

Entry 6:
# La2PmPr12
Theoretical powder diffraction line list, Cu Kα X-rays. Input: a DFT-relaxed cell (PBE, Alexandria).
Lines closer than 0.1° are merged.

Cell lengths 6.700, 6.700, 25.771 Å; angles 90.00, 90.00, 90.00 degrees
Sites, in units of the cell vectors:
La1 0.250 0.750 0.235
La2 0.250 0.750 0.765
La3 0.750 0.250 0.235
La4 0.750 0.250 0.765
Pm1 0.250 0.750 0.500
Pm2 0.750 0.250 0.500
Pr1 0.062 0.562 0.387
Pr2 0.062 0.938 0.613
Pr3 0.082 0.582 0.062
Pr4 0.082 0.918 0.938
Pr5 0.250 0.250 0.162
Pr6 0.250 0.250 0.285
Pr7 0.250 0.250 0.715
Pr8 0.250 0.250 0.838
Pr9 0.418 0.582 0.938
Pr10 0.418 0.918 0.062
Pr11 0.438 0.562 0.613
Pr12 0.438 0.938 0.387
Pr13 0.562 0.062 0.613
Pr14 0.562 0.438 0.387
Pr15 0.582 0.082 0.938
Pr16 0.582 0.418 0.062
Pr17 0.750 0.750 0.162
Pr18 0.750 0.750 0.285
Pr19 0.750 0.750 0.715
Pr20 0.750 0.750 0.838
Pr21 0.918 0.082 0.062
Pr22 0.918 0.418 0.938
Pr23 0.938 0.062 0.387
Pr24 0.938 0.438 0.613

Peak list (12 most intense, 2θ = 10–90°, by angle)
2θ 19.97, I 40
2θ 27.51, I 79
2θ 28.60, I 53
2θ 30.05, I 100
2θ 30.76, I 89
2θ 31.24, I 59
2θ 31.62, I 91
2θ 36.56, I 52
2θ 37.98, I 57
2θ 53.82, I 48
2θ 57.74, I 24
2θ 64.17, I 27

Entry 7:
# La2Pm3Pr6
Theoretical powder diffraction line list, Cu Kα X-rays. Input: a DFT-relaxed cell (PBE, Alexandria).
Lines closer than 0.1° are merged.

Cell lengths 6.435, 8.272, 8.274 Å; angles 107.45, 104.93, 97.15 degrees
Sites, in units of the cell vectors:
La1 0.229 0.047 0.410
La2 0.771 0.953 0.590
Pm1 0.410 0.681 0.136
Pm2 0.500 0.500 0.500
Pm3 0.590 0.319 0.864
Pr1 0.045 0.410 0.683
Pr2 0.137 0.229 0.045
Pr3 0.318 0.863 0.773
Pr4 0.682 0.137 0.227
Pr5 0.863 0.771 0.955
Pr6 0.955 0.590 0.317

Peak list (12 most intense, 2θ = 10–90°, by angle)
2θ 29.51, I 100
2θ 34.05, I 17
2θ 34.29, I 34
2θ 49.09, I 12
2θ 49.12, I 12
2θ 49.28, I 12
2θ 58.18, I 15
2θ 58.49, I 29
2θ 61.25, I 13
2θ 79.65, I 12
2θ 79.92, I 6
2θ 81.94, I 5

Entry 8:
# La3PmPr8
Theoretical powder diffraction line list, Cu Kα X-rays. Input: a DFT-relaxed cell (PBE, Alexandria).
Lines closer than 0.1° are merged.

Cell lengths 8.641, 8.641, 8.641 Å; angles 117.27, 117.27, 94.81 degrees
Sites, in units of the cell vectors:
La1 0.000 0.000 0.000
La2 0.250 0.750 0.500
La3 0.750 0.250 0.500
Pm1 0.500 0.500 0.000
Pr1 0.129 0.129 0.757
Pr2 0.249 0.749 0.000
Pr3 0.251 0.251 0.500
Pr4 0.372 0.372 0.243
Pr5 0.628 0.871 0.000
Pr6 0.749 0.249 0.000
Pr7 0.751 0.751 0.500
Pr8 0.871 0.628 0.000

Peak list (12 most intense, 2θ = 10–90°, by angle)
2θ 13.92, I 32
2θ 23.38, I 64
2θ 24.97, I 60
2θ 28.05, I 83
2θ 30.57, I 75
2θ 32.00, I 60
2θ 35.08, I 100
2θ 41.97, I 56
2θ 43.08, I 69
2θ 54.31, I 32
2θ 58.00, I 24
2θ 66.98, I 31

Entry 9:
# La10PmPr4
Theoretical powder diffraction line list, Cu Kα X-rays. Input: a DFT-relaxed cell (PBE, Alexandria).
Lines closer than 0.1° are merged.

Cell lengths 9.209, 9.209, 9.209 Å; angles 101.15, 101.15, 127.82 degrees
Sites, in units of the cell vectors:
La1 0.008 0.793 0.215
La2 0.207 0.422 0.215
La3 0.207 0.992 0.785
La4 0.250 0.750 0.500
La5 0.422 0.207 0.215
La6 0.578 0.793 0.785
La7 0.750 0.250 0.500
La8 0.793 0.008 0.215
La9 0.793 0.578 0.785
La10 0.992 0.207 0.785
Pm1 0.500 0.500 0.000
Pr1 0.275 0.275 0.551
Pr2 0.275 0.725 0.000
Pr3 0.725 0.275 0.000
Pr4 0.725 0.725 0.449

Peak list (12 most intense, 2θ = 10–90°, by angle)
2θ 26.78, I 45
2θ 29.66, I 53
2θ 30.57, I 100
2θ 30.90, I 94
2θ 32.79, I 34
2θ 34.08, I 25
2θ 39.54, I 40
2θ 43.78, I 26
2θ 51.70, I 25
2θ 61.27, I 20
2θ 64.27, I 22
2θ 64.94, I 29

Entry 10:
# La3Pm5Pr3
Theoretical powder diffraction line list, Cu Kα X-rays. Input: a DFT-relaxed cell (PBE, Alexandria).
Lines closer than 0.1° are merged.

Cell lengths 9.823, 9.823, 5.694 Å; angles 90.00, 90.00, 120.00 degrees
Sites, in units of the cell vectors:
La1 0.000 0.407 0.000
La2 0.407 0.000 0.000
La3 0.593 0.593 0.000
Pm1 0.000 0.635 0.500
Pm2 0.333 0.667 0.500
Pm3 0.365 0.365 0.500
Pm4 0.635 0.000 0.500
Pm5 0.667 0.333 0.500
Pr1 0.000 0.272 0.500
Pr2 0.272 0.000 0.500
Pr3 0.728 0.728 0.500

Peak list (12 most intense, 2θ = 10–90°, by angle)
2θ 10.40, I 35
2θ 15.56, I 82
2θ 18.06, I 39
2θ 23.93, I 35
2θ 26.15, I 44
2θ 31.42, I 65
2θ 31.55, I 99
2θ 31.97, I 100
2θ 35.36, I 66
2θ 41.43, I 43
2θ 45.13, I 74
2θ 56.27, I 24

Entry 11:
# LaPm8Pr6
Theoretical powder diffraction line list, Cu Kα X-rays. Input: a DFT-relaxed cell (PBE, Alexandria).
Lines closer than 0.1° are merged.

Cell lengths 10.096, 10.096, 6.080 Å; angles 90.00, 90.00, 120.00 degrees
Sites, in units of the cell vectors:
La1 0.000 0.000 0.000
Pm1 0.053 0.782 0.723
Pm2 0.218 0.271 0.723
Pm3 0.271 0.053 0.277
Pm4 0.333 0.667 0.721
Pm5 0.667 0.333 0.279
Pm6 0.729 0.947 0.723
Pm7 0.782 0.729 0.277
Pm8 0.947 0.218 0.277
Pr1 0.091 0.622 0.242
Pr2 0.378 0.468 0.242
Pr3 0.468 0.091 0.758
Pr4 0.532 0.909 0.242
Pr5 0.622 0.532 0.758
Pr6 0.909 0.378 0.758

Peak list (12 most intense, 2θ = 10–90°, by angle)
2θ 26.98, I 20
2θ 29.38, I 22
2θ 30.80, I 100
2θ 40.31, I 21
2θ 47.67, I 22
2θ 53.00, I 18
2θ 56.99, I 16
2θ 57.83, I 15
2θ 64.15, I 6
2θ 74.02, I 6
2θ 78.12, I 8
2θ 80.85, I 7

Entry 12:
# La4PmPr6
Theoretical powder diffraction line list, Cu Kα X-rays. Input: a DFT-relaxed cell (PBE, Alexandria).
Lines closer than 0.1° are merged.

Cell lengths 11.260, 11.260, 3.679 Å; angles 90.00, 90.00, 120.00 degrees
Sites, in units of the cell vectors:
La1 0.000 0.000 0.000
La2 0.509 0.018 0.500
La3 0.509 0.491 0.500
La4 0.982 0.491 0.500
Pm1 0.667 0.333 0.000
Pr1 0.200 0.400 0.000
Pr2 0.200 0.800 0.000
Pr3 0.298 0.149 0.500
Pr4 0.600 0.800 0.000
Pr5 0.851 0.149 0.500
Pr6 0.851 0.702 0.500

Peak list (12 most intense, 2θ = 10–90°, by angle)
2θ 24.15, I 19
2θ 27.44, I 33
2θ 28.99, I 33
2θ 30.44, I 99
2θ 31.79, I 100
2θ 34.44, I 43
2θ 36.90, I 15
2θ 44.59, I 19
2θ 49.51, I 33
2θ 53.15, I 18
2θ 55.81, I 15
2θ 60.09, I 32

Q: Number 6 is which compound?
A: La2PmPr12